Entry 1:
Structure and theoretical XRD peak list of La2VN4 (the GGA-PBE geometry in Alexandria; Cu Kα, 1.54184 Å).
Kinematic intensities with the Lorentz-polarization factor, no thermal factor.

Structure:
Cell lengths 6.9086, 6.9086, 6.9086 Å; angles 147.32, 147.32, 46.89 degrees
Fractional coordinates of all 7 atoms:
La (0.1427, 0.1427, 0.0000)
La (0.8573, 0.8573, 0.0000)
V (0.5000, 0.5000, 0.0000)
N (0.0000, 0.5000, 0.5000)
N (0.3380, 0.3380, 0.0000)
N (0.5000, 0.0000, 0.5000)
N (0.6620, 0.6620, 0.0000)

Principal peaks in the range 2θ from 10° to 80°, sorted by position:
2θ/deg	I (rel.)
23.9	29
28.2	15
31.3	100
32.6	65
43.6	31
46.7	31
54.8	13
56.0	12
57.3	36
65.2	11
68.3	15
77.7	16

***

Entry 2:
Structure and theoretical XRD peak list of CeNiH8Ir2 (the GGA-PBE geometry in Alexandria; Cu Kα, 1.54184 Å).
Kinematic intensities with the Lorentz-polarization factor, no thermal factor.

Structure:
Cell lengths 5.8725, 5.8725, 5.8725 Å; angles 47.21, 47.21, 47.21 degrees
Fractional coordinates of all 12 atoms:
Ce (0.0000, 0.0000, 0.0000)
Ni (0.5000, 0.5000, 0.5000)
H (0.1427, 0.5589, 0.5589)
H (0.3175, 0.3175, 0.3175)
H (0.4411, 0.4411, 0.8573)
H (0.4411, 0.8573, 0.4411)
H (0.5589, 0.1427, 0.5589)
H (0.5589, 0.5589, 0.1427)
H (0.6825, 0.6825, 0.6825)
H (0.8573, 0.4411, 0.4411)
Ir (0.2133, 0.2133, 0.2133)
Ir (0.7867, 0.7867, 0.7867)

Principal peaks in the range 2θ from 10° to 80°, sorted by position:
2θ/deg	I (rel.)
17.0	20
22.6	27
24.7	16
31.7	91
36.2	60
38.3	100
50.5	24
53.7	19
65.1	23
67.0	19
67.9	20
69.2	17

***

Entry 3:
Structure and theoretical XRD peak list of Er3AsSeS (the GGA-PBE geometry in Alexandria; Cu Kα, 1.54184 Å).
Kinematic intensities with the Lorentz-polarization factor, no thermal factor.

Structure:
Cell lengths 7.7954, 7.7954, 6.6561 Å; angles 98.28, 98.28, 128.93 degrees
Fractional coordinates of all 12 atoms:
Er (0.1703, 0.3243, 0.0011)
Er (0.2452, 0.7548, 0.7500)
Er (0.3243, 0.1703, 0.5011)
Er (0.6757, 0.8297, 0.4989)
Er (0.7548, 0.2452, 0.2500)
Er (0.8297, 0.6757, 0.9989)
As (0.4353, 0.5647, 0.7500)
As (0.5647, 0.4353, 0.2500)
Se (0.2494, 0.7506, 0.2500)
Se (0.7506, 0.2494, 0.7500)
S (0.0566, 0.9434, 0.7500)
S (0.9434, 0.0566, 0.2500)

Principal peaks in the range 2θ from 10° to 80°, sorted by position:
2θ/deg	I (rel.)
23.9	75
25.0	80
30.0	64
31.0	62
31.2	60
32.8	100
38.2	37
38.4	93
39.6	41
47.1	36
51.4	49
62.3	28

***

Entry 4:
Structure and theoretical XRD peak list of CaZnI2 (the GGA-PBE geometry in Alexandria; Cu Kα, 1.54184 Å).
Kinematic intensities with the Lorentz-polarization factor, no thermal factor.

Structure:
Cell lengths 5.6558, 5.6558, 5.6558 Å; angles 60.00, 60.00, 60.00 degrees
Fractional coordinates of all 4 atoms:
Ca (0.0000, 0.0000, 0.0000)
Zn (0.5000, 0.5000, 0.5000)
I (0.2500, 0.2500, 0.2500)
I (0.7500, 0.7500, 0.7500)

Principal peaks in the range 2θ from 10° to 80°, sorted by position:
2θ/deg	I (rel.)
19.2	1
22.2	17
31.6	100
37.3	1
39.0	5
45.4	18
51.1	7
56.4	37
66.1	11
70.7	4
75.1	15
79.5	2

***

Entry 5:
Structure and theoretical XRD peak list of NaAlAs2O6 (the GGA-PBE geometry in Alexandria; Cu Kα, 1.54184 Å).
Kinematic intensities with the Lorentz-polarization factor, no thermal factor.

Structure:
Cell lengths 7.4819, 7.4819, 6.9656 Å; angles 116.05, 116.05, 81.25 degrees
Fractional coordinates of all 20 atoms:
Na (0.2395, 0.7605, 0.7500)
Na (0.7605, 0.2395, 0.2500)
Al (0.2801, 0.7199, 0.2500)
Al (0.7199, 0.2801, 0.7500)
As (0.1682, 0.2711, 0.1628)
As (0.2711, 0.1682, 0.6628)
As (0.7289, 0.8318, 0.3372)
As (0.8318, 0.7289, 0.8372)
O (0.0912, 0.7106, 0.9795)
O (0.1456, 0.2467, 0.4262)
O (0.2467, 0.1456, 0.9262)
O (0.2655, 0.5172, 0.3093)
O (0.2894, 0.9088, 0.5205)
O (0.4828, 0.7345, 0.1907)
O (0.5172, 0.2655, 0.8093)
O (0.7106, 0.0912, 0.4795)
O (0.7345, 0.4828, 0.6907)
O (0.7533, 0.8544, 0.0738)
O (0.8544, 0.7533, 0.5738)
O (0.9088, 0.2894, 0.0205)

Principal peaks in the range 2θ from 10° to 80°, sorted by position:
2θ/deg	I (rel.)
18.2	18
19.2	29
24.1	65
24.5	33
26.6	100
28.5	29
29.3	19
30.4	21
31.6	17
32.8	18
40.6	15
49.1	15

***

Entry 6:
Structure and theoretical XRD peak list of Rb3TaCl7 (the GGA-PBE geometry in Alexandria; Cu Kα, 1.54184 Å).
Kinematic intensities with the Lorentz-polarization factor, no thermal factor.

Structure:
Cell lengths 10.1172, 10.1172, 7.0544 Å; angles 90.00, 90.00, 90.00 degrees
Fractional coordinates of all 22 atoms:
Rb (0.0000, 0.0000, 0.0000)
Rb (0.1794, 0.3206, 0.5000)
Rb (0.3206, 0.8206, 0.5000)
Rb (0.5000, 0.5000, 0.0000)
Rb (0.6794, 0.1794, 0.5000)
Rb (0.8206, 0.6794, 0.5000)
Ta (0.0000, 0.5000, 0.0000)
Ta (0.5000, 0.0000, 0.0000)
Cl (0.0000, 0.0000, 0.5000)
Cl (0.1176, 0.6176, 0.2454)
Cl (0.1176, 0.6176, 0.7546)
Cl (0.1696, 0.3304, 0.0000)
Cl (0.3304, 0.8304, 0.0000)
Cl (0.3824, 0.1176, 0.2454)
Cl (0.3824, 0.1176, 0.7546)
Cl (0.5000, 0.5000, 0.5000)
Cl (0.6176, 0.8824, 0.2454)
Cl (0.6176, 0.8824, 0.7546)
Cl (0.6696, 0.1696, 0.0000)
Cl (0.8304, 0.6696, 0.0000)
Cl (0.8824, 0.3824, 0.2454)
Cl (0.8824, 0.3824, 0.7546)

Principal peaks in the range 2θ from 10° to 80°, sorted by position:
2θ/deg	I (rel.)
12.4	71
17.5	26
17.7	25
21.6	100
24.9	63
25.2	32
27.9	28
30.7	25
32.2	62
35.8	48
37.8	30
47.8	34

***

Entry 7:
Structure and theoretical XRD peak list of Sm2NpFe2 (the GGA-PBE geometry in Alexandria; Cu Kα, 1.54184 Å).
Kinematic intensities with the Lorentz-polarization factor, no thermal factor.

Structure:
Cell lengths 5.7432, 5.7432, 7.4760 Å; angles 97.08, 97.08, 62.17 degrees
Fractional coordinates of all 10 atoms:
Sm (0.0401, 0.2646, 0.1514)
Sm (0.2646, 0.0401, 0.6514)
Sm (0.7354, 0.9599, 0.3486)
Sm (0.9599, 0.7354, 0.8486)
Np (0.3841, 0.6159, 0.2500)
Np (0.6159, 0.3841, 0.7500)
Fe (0.2718, 0.5009, 0.4825)
Fe (0.4991, 0.7282, 0.0175)
Fe (0.5009, 0.2718, 0.9825)
Fe (0.7282, 0.4991, 0.5175)

Principal peaks in the range 2θ from 10° to 80°, sorted by position:
2θ/deg	I (rel.)
28.8	20
31.4	37
32.2	21
32.5	100
35.2	27
37.3	22
38.4	34
39.4	23
51.3	18
56.8	17
58.3	19
58.8	18

***

Entry 8:
Structure and theoretical XRD peak list of KSrTl4 (the GGA-PBE geometry in Alexandria; Cu Kα, 1.54184 Å).
Kinematic intensities with the Lorentz-polarization factor, no thermal factor.

Structure:
Cell lengths 3.8666, 5.4454, 9.5193 Å; angles 90.00, 90.00, 90.00 degrees
Fractional coordinates of all 6 atoms:
K (0.0000, 0.0000, 0.0000)
Sr (0.0000, 0.5000, 0.5000)
Tl (0.5000, 0.0000, 0.3378)
Tl (0.5000, 0.0000, 0.6622)
Tl (0.5000, 0.5000, 0.1713)
Tl (0.5000, 0.5000, 0.8287)

Principal peaks in the range 2θ from 10° to 80°, sorted by position:
2θ/deg	I (rel.)
18.8	26
23.0	50
29.8	100
32.7	80
32.9	40
40.3	48
40.5	24
45.0	22
47.0	15
58.4	31
58.6	31
78.3	13

***

Entry 9:
Structure and theoretical XRD peak list of Os2PtRh2 (the GGA-PBE geometry in Alexandria; Cu Kα, 1.54184 Å).
Kinematic intensities with the Lorentz-polarization factor, no thermal factor.

Structure:
Cell lengths 2.7546, 2.7546, 11.0823 Å; angles 90.00, 90.00, 120.00 degrees
Fractional coordinates of all 5 atoms:
Os (0.3333, 0.6667, 0.4047)
Os (0.6667, 0.3333, 0.5953)
Pt (0.0000, 0.0000, 0.0000)
Rh (0.3333, 0.6667, 0.7900)
Rh (0.6667, 0.3333, 0.2100)

Principal peaks in the range 2θ from 10° to 80°, sorted by position:
2θ/deg	I (rel.)
16.0	16
24.1	5
37.7	3
38.6	62
40.7	50
41.2	100
45.2	97
50.5	22
63.7	19
68.1	35
70.4	2
71.5	14

***

Entry 10:
Structure and theoretical XRD peak list of Y4HoMgS8 (the GGA-PBE geometry in Alexandria; Cu Kα, 1.54184 Å).
Kinematic intensities with the Lorentz-polarization factor, no thermal factor.

Structure:
Cell lengths 7.9755, 7.9755, 7.9755 Å; angles 60.02, 60.02, 60.02 degrees
Fractional coordinates of all 14 atoms:
Y (0.0000, 0.0000, 0.0000)
Y (0.3779, 0.3779, 0.8672)
Y (0.3779, 0.8672, 0.3779)
Y (0.8672, 0.3779, 0.3779)
Ho (0.3780, 0.3780, 0.3780)
Mg (0.7501, 0.7501, 0.7501)
S (0.1335, 0.1335, 0.1335)
S (0.1348, 0.1348, 0.5992)
S (0.1348, 0.5992, 0.1348)
S (0.1365, 0.6206, 0.6206)
S (0.5992, 0.1348, 0.1348)
S (0.6206, 0.1365, 0.6206)
S (0.6206, 0.6206, 0.1365)
S (0.6216, 0.6216, 0.6216)

Principal peaks in the range 2θ from 10° to 80°, sorted by position:
2θ/deg	I (rel.)
13.6	47
22.3	16
26.2	100
31.7	56
41.6	45
45.5	75
53.2	14
56.5	13
63.3	22
66.3	11
72.6	13
75.4	16

***

Entry 11:
Structure and theoretical XRD peak list of Tb4Sm2Cd (the GGA-PBE geometry in Alexandria; Cu Kα, 1.54184 Å).
Kinematic intensities with the Lorentz-polarization factor, no thermal factor.

Structure:
Cell lengths 8.6987, 8.6987, 8.2487 Å; angles 116.92, 116.92, 23.84 degrees
Fractional coordinates of all 7 atoms:
Tb (0.0595, 0.0595, 0.2360)
Tb (0.3560, 0.3560, 0.0323)
Tb (0.6440, 0.6440, 0.9677)
Tb (0.9405, 0.9405, 0.7640)
Sm (0.2876, 0.2876, 0.3725)
Sm (0.7124, 0.7124, 0.6275)
Cd (0.5000, 0.5000, 0.5000)

Principal peaks in the range 2θ from 10° to 80°, sorted by position:
2θ/deg	I (rel.)
27.1	38
29.5	31
29.7	38
30.6	51
31.3	100
32.6	75
33.0	68
33.5	90
36.4	58
50.8	27
54.9	46
60.9	39

***

Entry 12:
Structure and theoretical XRD peak list of NbCr3Cu2S8 (the GGA-PBE geometry in Alexandria; Cu Kα, 1.54184 Å).
Kinematic intensities with the Lorentz-polarization factor, no thermal factor.

Structure:
Cell lengths 6.9246, 7.1450, 9.9360 Å; angles 90.00, 90.00, 90.00 degrees
Fractional coordinates of all 28 atoms:
Nb (0.0000, 0.2488, 0.2500)
Nb (0.0000, 0.7512, 0.7500)
Cr (0.2387, 0.0000, 0.5000)
Cr (0.2390, 0.5000, 0.5000)
Cr (0.5000, 0.2498, 0.2500)
Cr (0.5000, 0.7502, 0.7500)
Cr (0.7613, 0.0000, 0.0000)
Cr (0.7610, 0.5000, 0.0000)
Cu (0.2712, 0.2508, 0.8739)
Cu (0.2712, 0.7492, 0.1261)
Cu (0.7288, 0.2508, 0.6261)
Cu (0.7288, 0.7492, 0.3739)
S (0.0024, 0.2502, 0.4992)
S (0.0024, 0.7498, 0.5008)
S (0.2571, 0.0082, 0.2576)
S (0.2569, 0.4907, 0.2577)
S (0.2569, 0.5093, 0.7423)
S (0.2571, 0.9918, 0.7424)
S (0.4695, 0.2499, 0.4893)
S (0.4695, 0.7501, 0.5107)
S (0.5305, 0.2499, 0.0107)
S (0.5305, 0.7501, 0.9893)
S (0.7429, 0.0082, 0.2424)
S (0.7431, 0.4907, 0.2423)
S (0.7431, 0.5093, 0.7577)
S (0.7429, 0.9918, 0.7576)
S (0.9976, 0.2502, 0.0008)
S (0.9976, 0.7498, 0.9992)

Principal peaks in the range 2θ from 10° to 80°, sorted by position:
2θ/deg	I (rel.)
25.3	38
29.5	51
29.7	37
29.9	26
30.1	74
36.1	81
47.2	25
47.8	18
51.1	28
52.0	100
52.9	22
76.7	21